The following is a theoretical powder diffraction line list of CrInGe. It was derived from a crystal structure in Alexandria, relaxed with GGA-PBE, using λ = 1.5418 Å (Cu Kα).
Lines closer than 0.1° are merged.

Top 6 peaks for 10° ≤ 2θ ≤ 80°, in order of rising 2θ:
30.50°, d = 2.931 Å, rel. 564, (1 1 0); 33.00°, d = 2.714 Å, rel. 523, (4 0 -1); 34.80°, d = 2.578 Å, rel. 864, (4 0 0); 38.91°, d = 2.315 Å, rel. 936, (3 1 -1); 39.66°, d = 2.273 Å, rel. 1000, (1 1 -2); 45.45°, d = 1.996 Å, rel. 620, (4 0 -3)

```
data_CrInGe
_cell_length_a 10.8939
_cell_length_b 3.0566
_cell_length_c 6.7982
_cell_angle_alpha 90.00
_cell_angle_beta 108.85
_cell_angle_gamma 90.00
_space_group_name_H-M_alt 'C 1 2/m 1'
_space_group_IT_number 12
loop_
_space_group_symop_operation_xyz
'x,y,z'
'-x,-y,-z'
'-x,y,-z'
'x,-y,z'
'x+1/2,y+1/2,z'
'-x+1/2,-y+1/2,-z'
'-x+1/2,y+1/2,-z'
'x+1/2,-y+1/2,z'
loop_
_atom_site_label
_atom_site_fract_x
_atom_site_fract_y
_atom_site_fract_z
Cr1 0.1055 0.0000 0.4830
In1 0.0919 0.5000 0.8153
Ge1 0.1760 0.5000 0.2364
```